U2Sn2AuSe2: simulated powder X-ray diffraction pattern (Cu Kα, 1.54184 Å), based on the PBE geometry in Alexandria.
Lines closer than 0.1° are merged.

Principal peaks in the range 2θ = 10–80°, low angle first:
- 19.9 deg, d 4.464, intensity 14
- 23.9 deg, d 3.720, intensity 100
- 26.6 deg, d 3.352, intensity 18
- 35.4 deg, d 2.533, intensity 43
- 40.3 deg, d 2.235, intensity 53
- 41.0 deg, d 2.203, intensity 35
- 47.4 deg, d 1.916, intensity 17
- 53.4 deg, d 1.716, intensity 13
- 54.8 deg, d 1.676, intensity 13
- 64.0 deg, d 1.455, intensity 15
- 70.2 deg, d 1.341, intensity 12
- 73.8 deg, d 1.284, intensity 13

Cell and atoms:
abc: 4.472 4.472 13.392
angles: 90.00 90.00 120.00
Element x y z (fractional)
U  0.333  0.667  0.153
U  0.667  0.333  0.847
Sn  0.000  0.000  0.305
Sn  0.000  0.000  0.695
Au  0.000  0.000  0.500
Se  0.333  0.667  0.923
Se  0.667  0.333  0.077

***

Tb2Cd5Ag: simulated powder X-ray diffraction pattern (Cu Kα, 1.54184 Å), based on the PBE geometry in Alexandria.
Lines closer than 0.1° are merged.

Principal peaks in the range 2θ = 10–80°, low angle first:
- 22.0 deg, d 4.041, intensity 14
- 29.0 deg, d 3.077, intensity 70
- 35.1 deg, d 2.559, intensity 44
- 37.3 deg, d 2.410, intensity 48
- 38.3 deg, d 2.351, intensity 100
- 48.7 deg, d 1.868, intensity 16
- 52.9 deg, d 1.731, intensity 13
- 54.5 deg, d 1.683, intensity 16
- 63.6 deg, d 1.462, intensity 14
- 67.2 deg, d 1.394, intensity 13
- 68.6 deg, d 1.368, intensity 15
- 69.2 deg, d 1.357, intensity 17

Cell and atoms:
abc: 11.295 11.295 11.295
angles: 24.02 24.02 24.02
Element x y z (fractional)
Tb  0.092  0.092  0.092
Tb  0.908  0.908  0.908
Cd  0.196  0.196  0.196
Cd  0.365  0.365  0.365
Cd  0.500  0.500  0.500
Cd  0.635  0.635  0.635
Cd  0.804  0.804  0.804
Ag  0.000  0.000  0.000

***

UPdRh4Se8: simulated powder X-ray diffraction pattern (Cu Kα, 1.54184 Å), based on the PBE geometry in Alexandria.
Lines closer than 0.1° are merged.

Principal peaks in the range 2θ = 10–80°, low angle first:
- 14.2 deg, d 6.239, intensity 34
- 23.1 deg, d 3.853, intensity 33
- 27.7 deg, d 3.220, intensity 86
- 28.7 deg, d 3.113, intensity 41
- 33.7 deg, d 2.658, intensity 100
- 43.5 deg, d 2.080, intensity 26
- 44.2 deg, d 2.050, intensity 28
- 47.2 deg, d 1.926, intensity 84
- 49.6 deg, d 1.836, intensity 63
- 59.2 deg, d 1.560, intensity 19
- 70.9 deg, d 1.329, intensity 21
- 79.0 deg, d 1.212, intensity 17

Cell and atoms:
abc: 7.361 7.361 7.361
angles: 63.12 63.12 63.12
Element x y z (fractional)
U  0.000  0.000  0.000
Pd  0.374  0.374  0.374
Rh  0.001  0.001  0.500
Rh  0.001  0.500  0.001
Rh  0.500  0.001  0.001
Rh  0.627  0.627  0.627
Se  0.236  0.236  0.236
Se  0.237  0.742  0.742
Se  0.256  0.256  0.771
Se  0.256  0.771  0.256
Se  0.742  0.237  0.742
Se  0.742  0.742  0.237
Se  0.763  0.763  0.763
Se  0.771  0.256  0.256

***

Pm3Cd2Pt3: simulated powder X-ray diffraction pattern (Cu Kα, 1.54184 Å), based on the PBE geometry in Alexandria.
Lines closer than 0.1° are merged.

Principal peaks in the range 2θ = 10–80°, low angle first:
- 20.6 deg, d 4.322, intensity 22
- 30.3 deg, d 2.949, intensity 33
- 35.2 deg, d 2.551, intensity 71
- 36.0 deg, d 2.495, intensity 100
- 36.9 deg, d 2.436, intensity 91
- 46.4 deg, d 1.958, intensity 28
- 47.7 deg, d 1.905, intensity 27
- 52.5 deg, d 1.743, intensity 23
- 57.0 deg, d 1.615, intensity 18
- 65.3 deg, d 1.428, intensity 25
- 68.2 deg, d 1.376, intensity 22
- 74.8 deg, d 1.270, intensity 24

Cell and atoms:
abc: 8.644 8.644 5.898
angles: 90.00 90.00 120.00
Element x y z (fractional)
Pm  0.000  0.282  0.250
Pm  0.000  0.718  0.750
Pm  0.282  0.000  0.250
Pm  0.282  0.282  0.750
Pm  0.718  0.000  0.750
Pm  0.718  0.718  0.250
Cd  0.333  0.667  0.000
Cd  0.333  0.667  0.500
Cd  0.667  0.333  0.000
Cd  0.667  0.333  0.500
Pt  0.000  0.378  0.750
Pt  0.000  0.622  0.250
Pt  0.378  0.000  0.750
Pt  0.378  0.378  0.250
Pt  0.622  0.000  0.250
Pt  0.622  0.622  0.750

***

CaTl2Fe: simulated powder X-ray diffraction pattern (Cu Kα, 1.54184 Å), based on the PBE geometry in Alexandria.
Lines closer than 0.1° are merged.

Principal peaks in the range 2θ = 10–80°, low angle first:
- 15.0 deg, d 5.897, intensity 42
- 24.2 deg, d 3.675, intensity 20
- 25.0 deg, d 3.556, intensity 31
- 31.6 deg, d 2.835, intensity 100
- 32.5 deg, d 2.757, intensity 49
- 36.5 deg, d 2.459, intensity 59
- 38.4 deg, d 2.345, intensity 16
- 40.5 deg, d 2.229, intensity 23
- 45.0 deg, d 2.014, intensity 17
- 47.0 deg, d 1.933, intensity 15
- 52.8 deg, d 1.733, intensity 25
- 63.7 deg, d 1.460, intensity 26

Cell and atoms:
abc: 3.867 4.458 6.202
angles: 90.00 108.05 90.00
Element x y z (fractional)
Ca  0.000  0.000  0.000
Tl  0.347  0.500  0.695
Tl  0.724  0.000  0.449
Fe  0.593  0.500  0.187

***

LaBe13: simulated powder X-ray diffraction pattern (Cu Kα, 1.54184 Å), based on the PBE geometry in Alexandria.
Lines closer than 0.1° are merged.

Principal peaks in the range 2θ = 10–80°, low angle first:
- 17.1 deg, d 5.191, intensity 84
- 24.2 deg, d 3.671, intensity 100
- 29.8 deg, d 2.997, intensity 45
- 34.6 deg, d 2.596, intensity 22
- 38.8 deg, d 2.322, intensity 73
- 42.7 deg, d 2.119, intensity 62
- 52.9 deg, d 1.730, intensity 22
- 56.0 deg, d 1.642, intensity 26
- 59.0 deg, d 1.565, intensity 15
- 64.7 deg, d 1.440, intensity 17
- 67.5 deg, d 1.387, intensity 28
- 75.5 deg, d 1.259, intensity 20

Cell and atoms:
abc: 7.342 7.342 7.342
angles: 60.00 60.00 60.00
Element x y z (fractional)
La  0.250  0.250  0.250
La  0.750  0.750  0.750
Be  0.000  0.000  0.000
Be  0.064  0.287  0.713
Be  0.064  0.713  0.936
Be  0.064  0.936  0.287
Be  0.213  0.436  0.787
Be  0.213  0.564  0.436
Be  0.213  0.787  0.564
Be  0.287  0.064  0.936
Be  0.287  0.713  0.064
Be  0.287  0.936  0.713
Be  0.436  0.213  0.564
Be  0.436  0.564  0.787
Be  0.436  0.787  0.213
Be  0.500  0.500  0.500
Be  0.564  0.213  0.787
Be  0.564  0.436  0.213
Be  0.564  0.787  0.436
Be  0.713  0.064  0.287
Be  0.713  0.287  0.936
Be  0.713  0.936  0.064
Be  0.787  0.213  0.436
Be  0.787  0.436  0.564
Be  0.787  0.564  0.213
Be  0.936  0.064  0.713
Be  0.936  0.287  0.064
Be  0.936  0.713  0.287